CrCdInS4: calculated powder XRD pattern (λ = 1.5418 Å (Cu Kα)), based on the PBE geometry in the Materials Project.
Peak positions follow from Bragg's law for the DFT cell and can differ from measured ones.

Most intense lines, 5° ≤ 2θ ≤ 70°, by angle:
2θ/deg, I/Imax
23.55, 34
27.66, 100
27.88, 26
43.91, 18
44.30, 26
48.18, 50

Structure:
abc: 7.555 7.555 7.555
angles: 120.68 119.77 89.62
Element x y z (fractional)
Cr: 0.500 0.000 0.000
Cr: 0.500 0.500 0.500
Cd: 0.124 0.374 0.750
Cd: 0.876 0.626 0.250
In: 0.000 0.000 0.000
In: 0.500 0.000 0.500
S: 0.273 0.260 0.487
S: 0.273 0.786 0.013
S: 0.285 0.246 0.038
S: 0.292 0.754 0.538
S: 0.708 0.246 0.462
S: 0.715 0.754 0.962
S: 0.727 0.214 0.987
S: 0.727 0.740 0.513

Mg5Sb: calculated powder XRD pattern (λ = 1.5418 Å (Cu Kα)), based on the PBE geometry in the Materials Project.
Peak positions follow from Bragg's law for the DFT cell and can differ from measured ones.

Most intense lines, 5° ≤ 2θ ≤ 70°, by angle:
2θ/deg, I/Imax
10.90, 77
19.96, 41
32.08, 32
33.70, 39
36.36, 100
37.28, 47

Structure:
abc: 5.320 8.279 8.279
angles: 22.68 90.00 90.00
Element x y z (fractional)
Mg: 0.000 0.000 0.000
Mg: 0.000 0.332 0.332
Mg: 0.000 0.665 0.665
Mg: 0.500 0.219 0.219
Mg: 0.500 0.556 0.556
Sb: 0.500 0.889 0.889

La4Tm11S22: calculated powder XRD pattern (λ = 1.5418 Å (Cu Kα)), based on the PBE geometry in the Materials Project.
Peak positions follow from Bragg's law for the DFT cell and can differ from measured ones.

Most intense lines, 5° ≤ 2θ ≤ 70°, by angle:
2θ/deg, I/Imax
23.55, 79
24.23, 100
26.36, 63
27.63, 65
31.45, 62
42.05, 55

Structure:
abc: 19.684 19.684 11.334
angles: 91.38 91.38 11.53
Element x y z (fractional)
La: 0.104 0.104 0.012
La: 0.367 0.367 0.348
La: 0.633 0.633 0.652
La: 0.896 0.896 0.988
Tm: 0.000 0.000 0.000
Tm: 0.069 0.069 0.361
Tm: 0.202 0.202 0.942
Tm: 0.264 0.264 0.352
Tm: 0.342 0.342 0.699
Tm: 0.462 0.462 0.271
Tm: 0.538 0.538 0.729
Tm: 0.658 0.658 0.301
Tm: 0.736 0.736 0.648
Tm: 0.798 0.798 0.058
Tm: 0.931 0.931 0.639
S: 0.008 0.008 0.239
S: 0.087 0.087 0.752
S: 0.134 0.134 0.451
S: 0.169 0.169 0.153
S: 0.189 0.189 0.692
S: 0.255 0.255 0.119
S: 0.280 0.280 0.590
S: 0.350 0.350 0.091
S: 0.407 0.407 0.786
S: 0.446 0.446 0.495
S: 0.454 0.454 0.032
S: 0.546 0.546 0.968
S: 0.554 0.554 0.505
S: 0.593 0.593 0.214
S: 0.650 0.650 0.909
S: 0.720 0.720 0.410
S: 0.745 0.745 0.881
S: 0.811 0.811 0.308
S: 0.831 0.831 0.847
S: 0.866 0.866 0.549
S: 0.913 0.913 0.248
S: 0.992 0.992 0.761

Ta6V3Co3C2: calculated powder XRD pattern (λ = 1.5418 Å (Cu Kα)), based on the PBE geometry in the Materials Project.
Peak positions follow from Bragg's law for the DFT cell and can differ from measured ones.

Most intense lines, 5° ≤ 2θ ≤ 70°, by angle:
2θ/deg, I/Imax
31.04, 26
33.90, 25
38.27, 58
40.69, 100
44.46, 20
69.14, 37

Structure:
abc: 8.150 8.150 8.150
angles: 120.15 119.94 89.92
Element x y z (fractional)
Ta: 0.000 0.000 0.000
Ta: 0.000 0.002 0.618
Ta: 0.000 0.382 0.999
Ta: 0.249 0.133 0.501
Ta: 0.249 0.748 0.116
Ta: 0.250 0.750 0.500
Ta: 0.383 0.002 0.001
Ta: 0.383 0.382 0.382
Ta: 0.384 0.384 0.000
Ta: 0.632 0.133 0.884
Ta: 0.632 0.748 0.499
Ta: 0.635 0.135 0.500
V: 0.023 0.362 0.661
V: 0.321 0.571 0.751
V: 0.701 0.362 0.339
V: 0.814 0.056 0.242
V: 0.814 0.572 0.758
V: 0.820 0.571 0.249
Co: 0.022 0.363 0.341
Co: 0.022 0.681 0.659
Co: 0.611 0.453 0.842
Co: 0.611 0.769 0.158
Co: 0.612 0.769 0.843
Co: 0.925 0.769 0.157
C: 0.314 0.066 0.248
C: 0.315 0.065 0.749
C: 0.315 0.566 0.251
C: 0.818 0.066 0.752

RbMg14C: calculated powder XRD pattern (λ = 1.5418 Å (Cu Kα)), based on the PBE geometry in the Materials Project.
Peak positions follow from Bragg's law for the DFT cell and can differ from measured ones.

Most intense lines, 5° ≤ 2θ ≤ 70°, by angle:
2θ/deg, I/Imax
32.43, 38
34.54, 46
35.10, 74
36.87, 100
48.10, 23
63.40, 24

Structure:
abc: 10.388 6.654 6.654
angles: 56.07 90.00 90.00
Element x y z (fractional)
Rb: 0.000 0.000 0.000
Mg: 0.000 0.000 0.499
Mg: 0.000 0.499 0.000
Mg: 0.234 0.636 0.636
Mg: 0.252 0.147 0.623
Mg: 0.252 0.623 0.147
Mg: 0.274 0.142 0.142
Mg: 0.500 0.479 0.479
Mg: 0.500 0.485 0.974
Mg: 0.500 0.969 0.969
Mg: 0.500 0.974 0.485
Mg: 0.726 0.142 0.142
Mg: 0.748 0.147 0.623
Mg: 0.748 0.623 0.147
Mg: 0.766 0.636 0.636
C: 0.000 0.376 0.376